Entry 1:
Structure and calculated powder X-ray diffraction pattern of Sr5Fe4MoO15 (a structure optimized by DFT (PBE+U); Cu Kα, 1.54184 Å).
Intensities are scaled so that the largest is 100.

Structure:
a = 5.5916 Å, b = 6.8541 Å, c = 8.8530 Å
α = 75.05°, β = 71.62°, γ = 89.93°
Fractional positions:
Sr  0.0000  0.0000  0.0000
Sr  0.2048  0.8091  0.5903
Sr  0.3931  0.6034  0.2131
Sr  0.6069  0.3966  0.7869
Sr  0.7952  0.1909  0.4097
Fe  0.2027  0.2991  0.5946
Fe  0.3990  0.0920  0.2016
Fe  0.6010  0.9080  0.7984
Fe  0.7973  0.7009  0.4054
Mo  0.0000  0.5000  0.0000
O  0.0000  0.5000  0.5000
O  0.0960  0.8962  0.3002
O  0.0995  0.4062  0.8026
O  0.1978  0.3034  0.0952
O  0.2918  0.6964  0.9056
O  0.3041  0.1998  0.3935
O  0.3974  0.1031  0.6997
O  0.5000  0.0000  0.0000
O  0.5000  0.5000  0.5000
O  0.6026  0.8969  0.3003
O  0.6959  0.8002  0.6065
O  0.7082  0.3036  0.0944
O  0.8022  0.6966  0.9048
O  0.9005  0.5938  0.1974
O  0.9040  0.1038  0.6998

The 8 most intense peaks (10 to 90 degrees two-theta), low angle first:
31.98 deg, rel. 100, hkl 2 0 1; 39.44 deg, rel. 9, hkl 0 3 1; 45.86 deg, rel. 37, hkl 2 2 0; 56.98 deg, rel. 28, hkl 3 2 3; 57.05 deg, rel. 9, hkl 3 -2 0; 66.84 deg, rel. 14, hkl 2 4 4; 66.93 deg, rel. 7, hkl 4 0 2; 76.04 deg, rel. 9, hkl 4 2 1

---

Entry 2:
Structure and calculated powder X-ray diffraction pattern of TlFeMo2O8 (a structure optimized by DFT (PBE+U); Cu Kα, 1.54184 Å).
Intensities are scaled so that the largest is 100.

Structure:
a = 15.1219 Å, b = 5.7888 Å, c = 8.9524 Å
α = 90.00°, β = 90.00°, γ = 90.00°
Fractional positions:
Tl  0.1208  0.2500  0.0621
Tl  0.3792  0.7500  0.5621
Tl  0.6208  0.2500  0.4379
Tl  0.8792  0.7500  0.9379
Fe  0.1184  0.7500  0.6899
Fe  0.3816  0.2500  0.1899
Fe  0.6184  0.7500  0.8101
Fe  0.8816  0.2500  0.3101
Mo  0.0317  0.7500  0.2961
Mo  0.2176  0.2500  0.4976
Mo  0.2824  0.7500  0.9976
Mo  0.4683  0.2500  0.7961
Mo  0.5317  0.7500  0.2039
Mo  0.7176  0.2500  0.0024
Mo  0.7824  0.7500  0.5024
Mo  0.9683  0.2500  0.7039
O  0.0346  0.5010  0.7631
O  0.0346  0.9990  0.7631
O  0.0527  0.7500  0.4919
O  0.1317  0.7500  0.1969
O  0.1326  0.2500  0.3640
O  0.1792  0.7500  0.8867
O  0.2036  0.5100  0.6058
O  0.2036  0.9900  0.6058
O  0.2964  0.0100  0.1058
O  0.2964  0.4900  0.1058
O  0.3208  0.2500  0.3867
O  0.3674  0.7500  0.8640
O  0.3683  0.2500  0.6969
O  0.4473  0.2500  0.9919
O  0.4654  0.0010  0.2631
O  0.4654  0.4990  0.2631
O  0.5346  0.5010  0.7369
O  0.5346  0.9990  0.7369
O  0.5527  0.7500  0.0081
O  0.6317  0.7500  0.3031
O  0.6326  0.2500  0.1360
O  0.6792  0.7500  0.6133
O  0.7036  0.5100  0.8942
O  0.7036  0.9900  0.8942
O  0.7964  0.0100  0.3942
O  0.7964  0.4900  0.3942
O  0.8208  0.2500  0.1133
O  0.8674  0.7500  0.6360
O  0.8683  0.2500  0.8031
O  0.9473  0.2500  0.5081
O  0.9654  0.0010  0.2369
O  0.9654  0.4990  0.2369

The 8 most intense peaks (10 to 90 degrees two-theta), low angle first:
23.09 deg, rel. 34, hkl 2 0 2; 25.46 deg, rel. 100, hkl 3 1 1; 27.82 deg, rel. 76, hkl 2 1 2; 29.94 deg, rel. 37, hkl 4 1 1; 30.89 deg, rel. 47, hkl 0 2 0; 31.22 deg, rel. 25, hkl 5 0 1; 33.79 deg, rel. 24, hkl 0 1 3; 47.15 deg, rel. 29, hkl 6 0 3

---

Entry 3:
Structure and calculated powder X-ray diffraction pattern of FeS6N9O18 (a structure optimized by DFT (PBE+U); Cu Kα, 1.54184 Å).
Intensities are scaled so that the largest is 100.

Structure:
a = 7.2633 Å, b = 10.6953 Å, c = 11.0938 Å
α = 61.28°, β = 89.13°, γ = 87.63°
Fractional positions:
Fe  0.0000  0.0000  0.0000
S  0.1596  0.6917  0.0252
S  0.2025  0.0190  0.2880
S  0.2060  0.2895  0.6936
S  0.7940  0.7105  0.3064
S  0.7975  0.9810  0.7120
S  0.8404  0.3083  0.9748
N  0.0156  0.3334  0.3327
N  0.3473  0.3856  0.9540
N  0.3473  0.9512  0.6625
N  0.3498  0.6583  0.3834
N  0.5000  0.0000  0.0000
N  0.6502  0.3417  0.6166
N  0.6527  0.0488  0.3375
N  0.6527  0.6144  0.0460
N  0.9844  0.6666  0.6673
O  0.1559  0.8517  0.9887
O  0.1684  0.9844  0.1796
O  0.1722  0.1790  0.8320
O  0.1831  0.9085  0.4272
O  0.1868  0.4356  0.6629
O  0.1997  0.6788  0.9018
O  0.2568  0.1594  0.2535
O  0.2567  0.2494  0.5911
O  0.2684  0.6047  0.1506
O  0.7316  0.3953  0.8494
O  0.7433  0.7506  0.4089
O  0.7432  0.8406  0.7465
O  0.8003  0.3212  0.0982
O  0.8132  0.5644  0.3371
O  0.8169  0.0915  0.5728
O  0.8278  0.8210  0.1680
O  0.8316  0.0156  0.8204
O  0.8441  0.1483  0.0113

The 8 most intense peaks (10 to 90 degrees two-theta), low angle first:
12.20 deg, rel. 100, hkl 1 0 0; 19.89 deg, rel. 76, hkl 1 1 -1; 20.00 deg, rel. 77, hkl 1 1 2; 21.05 deg, rel. 59, hkl -1 2 1; 28.59 deg, rel. 61, hkl 0 3 0; 29.05 deg, rel. 74, hkl 2 1 -1; 29.19 deg, rel. 78, hkl 2 1 2; 30.33 deg, rel. 64, hkl -2 2 1